Diffraction record for Eu2Zn2As3. The powder diffractogram is simulated, not measured: it uses a structure optimized by DFT (GGA-PBE) and CuKα.

Cell and atoms:
```
14
Lattice="8.023 -2.140 0.000 8.023 2.140 0.000 -7.093 0.000 9.609" Properties=species:S:1:pos:R:3 pbc="T T T"
Eu -1.494 0.000 4.315
Eu -2.191 0.000 8.030
Eu 11.144 0.000 1.580
Eu 10.447 0.000 5.294
Zn 0.359 0.000 1.469
Zn 6.041 0.000 1.785
Zn 2.913 0.000 7.824
Zn 8.595 0.000 8.140
As -4.982 0.000 9.232
As 0.577 0.000 6.689
As 4.098 0.000 3.572
As 4.856 0.000 6.037
As 8.377 0.000 2.921
As 13.936 0.000 0.378
```

Peak list (10 most intense, 5 to 70 degrees two-theta, in order of falling intensity)
- 2θ = 31.38°, rel. 100
- 2θ = 36.73°, rel. 83
- 2θ = 42.23°, rel. 77
- 2θ = 30.96°, rel. 73
- 2θ = 34.52°, rel. 73
- 2θ = 26.85°, rel. 66
- 2θ = 35.86°, rel. 56
- 2θ = 35.00°, rel. 44
- 2θ = 43.96°, rel. 40
- 2θ = 46.09°, rel. 40

***

Diffraction record for LuAl8Cu4. The powder diffractogram is simulated, not measured: it uses a structure optimized by DFT (GGA-PBE) and CuKα.

Cell and atoms:
```
13
Lattice="-4.415 4.415 2.553 4.415 -4.415 2.553 4.415 4.415 -2.553" Properties=species:S:1:pos:R:3 pbc="T T T"
Lu 0.000 0.000 0.000
Al 3.063 0.000 0.000
Al 5.767 0.000 0.000
Al 4.415 2.498 0.000
Al 0.000 3.063 0.000
Al 2.498 4.415 0.000
Al 1.917 0.000 2.553
Al 0.000 5.767 0.000
Al 0.000 1.917 2.553
Cu 2.208 2.208 -1.276
Cu 2.208 -2.208 1.276
Cu -2.208 2.208 1.276
Cu 2.208 2.208 1.276
```

Peak list (10 most intense, 5 to 70 degrees two-theta, in order of falling intensity)
- 2θ = 40.86°, rel. 100
- 2θ = 28.58°, rel. 47
- 2θ = 59.16°, rel. 28
- 2θ = 20.09°, rel. 21
- 2θ = 14.18°, rel. 20
- 2θ = 35.19°, rel. 19
- 2θ = 67.00°, rel. 17
- 2θ = 45.94°, rel. 12
- 2θ = 32.05°, rel. 11
- 2θ = 55.01°, rel. 7

***

Diffraction record for MgZn2. The powder diffractogram is simulated, not measured: it uses a structure optimized by DFT (GGA-PBE) and CuKα.

Cell and atoms:
```
12
Lattice="5.251 0.000 0.000 -2.626 4.548 0.000 0.000 0.000 8.445" Properties=species:S:1:pos:R:3 pbc="T T T"
Mg 0.000 3.032 0.527
Mg 0.000 3.032 3.695
Mg 2.626 1.516 4.750
Mg 2.626 1.516 7.918
Zn 0.000 0.000 0.000
Zn 0.000 0.000 4.223
Zn 0.000 1.550 6.334
Zn -1.284 3.773 6.334
Zn 1.342 0.775 2.111
Zn 1.284 3.773 6.334
Zn 3.909 0.775 2.111
Zn 2.626 2.998 2.111
```

Peak list (10 most intense, 5 to 70 degrees two-theta, in order of falling intensity)
- 2θ = 41.11°, rel. 100
- 2θ = 40.45°, rel. 82
- 2θ = 19.52°, rel. 47
- 2θ = 45.30°, rel. 47
- 2θ = 37.58°, rel. 36
- 2θ = 42.83°, rel. 30
- 2θ = 22.20°, rel. 28
- 2θ = 21.04°, rel. 26
- 2θ = 51.68°, rel. 25
- 2θ = 69.30°, rel. 24

***

Diffraction record for Y4FeS7. The powder diffractogram is simulated, not measured: it uses a structure optimized by DFT (GGA-PBE) and CuKα.

Cell and atoms:
```
12
Lattice="6.206 -1.895 0.000 6.206 1.895 0.000 -2.847 0.000 11.021" Properties=species:S:1:pos:R:3 pbc="T T T"
Y 0.000 0.000 0.000
Y 3.117 0.000 6.525
Y 6.209 0.000 3.906
Y 6.340 0.000 8.804
Fe 9.368 0.000 2.388
S -1.691 0.000 8.158
S 1.727 0.000 3.134
S 2.015 0.000 9.299
S 4.819 0.000 1.606
S 8.162 0.000 0.241
S 7.408 0.000 6.339
S 10.540 0.000 4.713
```

Peak list (10 most intense, 5 to 70 degrees two-theta, in order of falling intensity)
- 2θ = 24.50°, rel. 100
- 2θ = 25.05°, rel. 94
- 2θ = 33.80°, rel. 88
- 2θ = 32.14°, rel. 82
- 2θ = 32.52°, rel. 77
- 2θ = 34.92°, rel. 70
- 2θ = 48.01°, rel. 56
- 2θ = 42.74°, rel. 54
- 2θ = 48.20°, rel. 52
- 2θ = 37.30°, rel. 44

***

Diffraction record for TlInHgS3. The powder diffractogram is simulated, not measured: it uses a structure optimized by DFT (GGA-PBE) and CuKα.

Cell and atoms:
```
24
Lattice="7.123 -2.008 0.000 7.123 2.008 0.000 -5.345 0.000 21.185" Properties=species:S:1:pos:R:3 pbc="T T T"
Tl 3.955 1.583 12.254
Tl 2.273 1.583 19.524
Tl 6.627 -1.583 1.661
Tl 4.946 -1.583 8.931
In 1.728 0.237 6.873
In -0.945 -0.237 17.465
In 9.845 0.237 3.720
In 7.173 -0.237 14.313
Hg 3.561 1.004 0.000
Hg 5.787 0.271 5.296
Hg 0.889 -1.004 10.593
Hg 3.114 -0.271 15.889
S 1.050 0.230 4.306
S -1.623 -0.230 14.899
S 2.459 0.338 9.386
S 4.548 0.246 3.236
S -0.213 -0.338 19.979
S 1.876 -0.246 13.828
S 7.025 0.246 7.357
S 9.114 0.338 1.206
S 4.353 -0.246 17.949
S 6.441 -0.338 11.799
S 10.523 0.230 6.286
S 7.851 -0.230 16.879
```

Peak list (10 most intense, 5 to 70 degrees two-theta, in order of falling intensity)
- 2θ = 31.14°, rel. 100
- 2θ = 25.37°, rel. 95
- 2θ = 25.80°, rel. 91
- 2θ = 30.20°, rel. 81
- 2θ = 29.36°, rel. 76
- 2θ = 27.10°, rel. 64
- 2θ = 31.61°, rel. 60
- 2θ = 25.11°, rel. 56
- 2θ = 41.24°, rel. 47
- 2θ = 53.02°, rel. 31

***

Diffraction record for SrOsN2. The powder diffractogram is simulated, not measured: it uses a structure optimized by DFT (GGA-PBE) and CuKα.

Cell and atoms:
```
16
Lattice="6.467 0.000 0.000 0.000 7.751 0.000 -1.721 0.000 4.901" Properties=species:S:1:pos:R:3 pbc="T T T"
Sr 0.545 0.750 1.638
Sr -0.315 3.126 4.088
Sr 5.061 4.625 0.813
Sr 4.200 7.001 3.263
Os 1.634 5.146 2.266
Os 0.773 6.480 4.716
Os 3.973 1.271 0.185
Os 3.112 2.605 2.635
N 1.060 5.408 0.341
N 0.200 6.219 2.792
N 0.445 0.704 4.409
N 1.305 3.172 1.959
N 3.441 4.579 2.942
N 4.301 7.047 0.492
N 4.546 1.532 2.109
N 3.686 2.343 4.559
```

Peak list (10 most intense, 5 to 70 degrees two-theta, in order of falling intensity)
- 2θ = 31.52°, rel. 100
- 2θ = 34.64°, rel. 80
- 2θ = 14.52°, rel. 73
- 2θ = 30.03°, rel. 67
- 2θ = 29.26°, rel. 59
- 2θ = 18.51°, rel. 56
- 2θ = 37.22°, rel. 49
- 2θ = 45.77°, rel. 47
- 2θ = 59.62°, rel. 45
- 2θ = 39.43°, rel. 41

***

Diffraction record for Ru2C3N6. The powder diffractogram is simulated, not measured: it uses a structure optimized by DFT (GGA-PBE) and CuKα.

Cell and atoms:
```
11
Lattice="8.690 -1.633 0.000 8.690 1.633 0.000 -0.036 0.000 5.124" Properties=species:S:1:pos:R:3 pbc="T T T"
Ru 3.073 0.000 0.417
Ru 14.271 0.000 4.708
C 0.000 0.000 0.000
C 5.507 0.000 2.130
C 11.837 0.000 2.995
N 1.221 0.000 0.055
N 5.171 0.000 0.914
N 5.753 0.000 3.320
N 11.591 0.000 1.805
N 12.174 0.000 4.211
N 16.124 0.000 5.070
```

Peak list (10 most intense, 5 to 70 degrees two-theta, in order of falling intensity)
- 2θ = 10.18°, rel. 100
- 2θ = 17.30°, rel. 52
- 2θ = 32.90°, rel. 29
- 2θ = 36.05°, rel. 20
- 2θ = 20.18°, rel. 19
- 2θ = 45.26°, rel. 18
- 2θ = 30.87°, rel. 17
- 2θ = 41.92°, rel. 10
- 2θ = 36.16°, rel. 9
- 2θ = 58.23°, rel. 8